Entry 1:
Diffraction record for Cs2K5Rb2. The PXRD pattern is calculated, not measured: it uses a DFT-relaxed cell (PBE, Alexandria) and CuKα.
Lines closer than 0.1° are merged.

Structural model:
a = 20.650 Å, b = 16.730 Å, c = 9.000 Å
α = 90.00°, β = 90.00°, γ = 90.00°
Space group Ima2 (No. 46)
One atom of each set of equivalent atoms:
Cs (0.124, 0.005, 0.000) (multiplicity 8)
K (0.052, 0.746, 0.168) (multiplicity 8)
K (0.145, 0.227, 0.367) (multiplicity 8)
K (0.250, 0.740, 0.366) (multiplicity 4)
Rb (0.000, 0.000, 0.487) (multiplicity 4)
Rb (0.250, 0.508, 0.022) (multiplicity 4)

Principal peaks in the range 10° ≤ 2θ ≤ 90°, in order of rising 2θ:
h k l, d [Å], two_theta, Rel. int.
0 2 0, 8.365, 10.58, 29
0 0 2, 4.500, 19.73, 21
4 1 1, 4.326, 20.53, 100
0 4 0, 4.182, 21.24, 50
0 2 2, 3.963, 22.43, 54
4 3 1, 3.492, 25.51, 68
4 5 1, 2.680, 33.43, 25
4 1 3, 2.563, 35.01, 27
4 3 3, 2.352, 38.27, 17
4 7 1, 2.108, 42.89, 18



Entry 2:
Diffraction record for CaSnP2O7. The PXRD pattern is calculated, not measured: it uses a DFT-relaxed cell (PBE, Alexandria) and CuKα.
Lines closer than 0.1° are merged.

Structural model:
a = 6.897 Å, b = 6.970 Å, c = 7.180 Å
α = 82.28°, β = 64.51°, γ = 84.97°
Space group P-1 (No. 2)
One atom of each set of equivalent atoms:
Ca (0.220, 0.155, 0.353) (multiplicity 2)
Sn (0.391, 0.314, 0.760) (multiplicity 2)
P (0.146, 0.668, 0.185) (multiplicity 2)
P (0.273, 0.823, 0.729) (multiplicity 2)
O (0.092, 0.317, 0.661) (multiplicity 2)
O (0.111, 0.902, 0.644) (multiplicity 2)
O (0.135, 0.719, 0.957) (multiplicity 2)
O (0.246, 0.464, 0.183) (multiplicity 2)
O (0.282, 0.821, 0.204) (multiplicity 2)
O (0.414, 0.976, 0.742) (multiplicity 2)
O (0.431, 0.668, 0.598) (multiplicity 2)

Principal peaks in the range 10° ≤ 2θ ≤ 90°, in order of rising 2θ:
h k l, d [Å], two_theta, Rel. int.
1 0 0, 6.223, 14.23, 31
0 1 -1, 4.477, 19.83, 48
0 2 0, 3.452, 25.81, 41
2 0 1, 3.428, 25.99, 48
0 0 2, 3.222, 27.69, 79
2 1 1, 3.190, 27.97, 100
0 2 -1, 2.915, 30.67, 34
2 -1 0, 2.802, 31.93, 25
2 -1 2, 2.593, 34.60, 26
3 0 1, 2.276, 39.60, 34



Entry 3:
Diffraction record for TbBPtO5. The PXRD pattern is calculated, not measured: it uses a DFT-relaxed cell (PBE, Alexandria) and CuKα.
Lines closer than 0.1° are merged.

Structural model:
a = 6.296 Å, b = 8.680 Å, c = 6.847 Å
α = 90.00°, β = 112.85°, γ = 90.00°
Space group C2/c (No. 15)
One atom of each set of equivalent atoms:
Tb (0.000, 0.144, 0.250) (multiplicity 4)
B (0.000, 0.193, 0.750) (multiplicity 4)
Pt (0.000, 0.500, 0.000) (multiplicity 4)
O (0.000, 0.394, 0.250) (multiplicity 4)
O (0.115, 0.285, 0.637) (multiplicity 8)
O (0.162, 0.082, 0.921) (multiplicity 8)

Principal peaks in the range 10° ≤ 2θ ≤ 90°, in order of rising 2θ:
h k l, d [Å], two_theta, Rel. int.
1 1 0, 4.824, 18.39, 28
1 1 -1, 4.619, 19.22, 31
1 1 -2, 3.146, 28.37, 100
2 0 0, 2.901, 30.82, 61
1 3 0, 2.589, 34.64, 70
0 2 2, 2.552, 35.16, 41
1 1 2, 2.320, 38.82, 30
3 1 -2, 1.985, 45.71, 29
0 4 2, 1.788, 51.09, 27
2 4 -2, 1.698, 54.00, 27



Entry 4:
Diffraction record for RbSbN. The PXRD pattern is calculated, not measured: it uses a DFT-relaxed cell (PBE, Alexandria) and CuKα.
Lines closer than 0.1° are merged.

Structural model:
a = 4.464 Å, b = 5.377 Å, c = 10.415 Å
α = 96.29°, β = 101.25°, γ = 111.82°
Space group P-1 (No. 2)
One atom of each set of equivalent atoms:
Rb (0.188, 0.181, 0.260) (multiplicity 2)
Sb (0.357, 0.691, 0.041) (multiplicity 2)
N (0.134, 0.556, 0.533) (multiplicity 2)

Principal peaks in the range 10° ≤ 2θ ≤ 90°, in order of rising 2θ:
h k l, d [Å], two_theta, Rel. int.
0 1 -2, 3.911, 22.74, 89
1 0 1, 3.430, 25.98, 93
-1 1 2, 3.267, 27.30, 100
0 1 -3, 3.055, 29.23, 55
1 1 -1, 2.729, 32.82, 56
1 1 -2, 2.641, 33.94, 34
1 -2 0, 2.607, 34.41, 38
1 -2 1, 2.552, 35.17, 40
0 2 1, 2.272, 39.66, 32
-2 1 1, 2.229, 40.47, 34



Entry 5:
Diffraction record for La2PmAl4. The PXRD pattern is calculated, not measured: it uses a DFT-relaxed cell (PBE, Alexandria) and CuKα.
Lines closer than 0.1° are merged.

Structural model:
a = 3.733 Å, b = 4.616 Å, c = 20.678 Å
α = 90.00°, β = 90.00°, γ = 90.00°
Space group Immm (No. 71)
One atom of each set of equivalent atoms:
La (0.000, 0.000, 0.192) (multiplicity 4)
Pm (0.000, 0.500, 0.000) (multiplicity 2)
Al (0.000, 0.000, 0.367) (multiplicity 4)
Al (0.000, 0.500, 0.436) (multiplicity 4)

Principal peaks in the range 10° ≤ 2θ ≤ 90°, in order of rising 2θ:
h k l, d [Å], two_theta, Rel. int.
0 1 3, 3.835, 23.19, 77
0 0 6, 3.446, 25.85, 22
1 1 2, 2.795, 32.03, 100
1 0 5, 2.771, 32.31, 68
0 1 7, 2.488, 36.10, 37
0 2 0, 2.308, 39.03, 26
1 1 8, 1.930, 47.08, 21
1 2 5, 1.773, 51.54, 36
1 0 11, 1.679, 54.68, 28
2 1 7, 1.493, 62.18, 17



Entry 6:
Diffraction record for Ag2SnS2Cl2. The PXRD pattern is calculated, not measured: it uses a DFT-relaxed cell (PBE, Alexandria) and CuKα.
Lines closer than 0.1° are merged.

Structural model:
a = 4.300 Å, b = 7.162 Å, c = 7.193 Å
α = 112.90°, β = 107.23°, γ = 90.15°
Space group P-1 (No. 2)
One atom of each set of equivalent atoms:
Ag (0.218, 0.364, 0.437) (multiplicity 2)
Sn (0.500, 0.000, 0.000) (multiplicity 1)
S (0.307, 0.814, 0.613) (multiplicity 2)
Cl (0.021, 0.779, 0.044) (multiplicity 2)

Principal peaks in the range 10° ≤ 2θ ≤ 90°, in order of rising 2θ:
h k l, d [Å], two_theta, Rel. int.
0 1 -1, 5.882, 15.06, 100
1 1 0, 3.265, 27.31, 26
0 0 2, 3.136, 28.46, 24
1 2 -1, 2.731, 32.80, 53
0 1 2, 2.463, 36.47, 10
0 1 -3, 2.279, 39.54, 13
2 0 -1, 2.150, 42.03, 15
1 -3 1, 2.078, 43.56, 10
2 -1 0, 2.019, 44.89, 12
1 2 1, 1.944, 46.73, 15